Entry 1:
Diffraction record for CdTeW. The powder diffractogram is simulated, not measured: it uses a structure optimized by DFT (PBE) and Cu Kα (λ = 1.5418 Å).

Structural model:
```
data_CdTeW
_cell_length_a 6.525
_cell_length_b 6.525
_cell_length_c 6.525
_cell_angle_alpha 90.00
_cell_angle_beta 90.00
_cell_angle_gamma 90.00
_space_group_name_H-M_alt 'F -4 3 m'
_space_group_IT_number 216
_space_group_name_Hall 'F -4 2 3'
loop_
_atom_site_label
_atom_site_fract_x
_atom_site_fract_y
_atom_site_fract_z
Cd1 0.000 0.000 0.000
Te1 0.000 0.000 0.500
W1 0.250 0.250 0.250
```

Top 6 peaks for 15° ≤ 2θ ≤ 90°, low angle first:
- (1 1 1), 2θ = 23.6°, intensity 46
- (2 2 0), 2θ = 39.0°, intensity 100
- (3 1 1), 2θ = 46.1°, intensity 23
- (4 0 0), 2θ = 56.4°, intensity 17
- (4 2 2), 2θ = 70.7°, intensity 34
- (4 4 0), 2θ = 83.9°, intensity 11

Entry 2:
Diffraction record for ThCd11. The powder diffractogram is simulated, not measured: it uses a structure optimized by DFT (PBE) and Cu Kα (λ = 1.5418 Å).

Structural model:
```
data_ThCd11
_cell_length_a 9.316
_cell_length_b 9.316
_cell_length_c 9.316
_cell_angle_alpha 90.00
_cell_angle_beta 90.00
_cell_angle_gamma 90.00
_space_group_name_H-M_alt 'P m -3 m'
_space_group_IT_number 221
_space_group_name_Hall '-P 4 2 3'
loop_
_atom_site_label
_atom_site_fract_x
_atom_site_fract_y
_atom_site_fract_z
Th1 0.000 0.000 0.500
Cd1 0.000 0.344 0.344
Cd2 0.156 0.156 0.156
Cd3 0.265 0.265 0.500
Cd4 0.500 0.500 0.500
```

Top 6 peaks for 15° ≤ 2θ ≤ 90°, low angle first:
- (3 1 1), 2θ = 31.9°, intensity 100
- (2 2 2), 2θ = 33.3°, intensity 77
- (3 2 0), 2θ = 34.7°, intensity 42
- (4 1 0), 2θ = 39.9°, intensity 64
- (3 3 0), 2θ = 41.1°, intensity 47
- (4 2 1), 2θ = 44.6°, intensity 46

Entry 3:
Diffraction record for Th6Cd23. The powder diffractogram is simulated, not measured: it uses a structure optimized by DFT (PBE) and Cu Kα (λ = 1.5418 Å).

Structural model:
```
data_Th6Cd23
_cell_length_a 14.075
_cell_length_b 14.075
_cell_length_c 14.075
_cell_angle_alpha 90.00
_cell_angle_beta 90.00
_cell_angle_gamma 90.00
_space_group_name_H-M_alt 'F m -3 m'
_space_group_IT_number 225
_space_group_name_Hall '-F 4 2 3'
loop_
_atom_site_label
_atom_site_fract_x
_atom_site_fract_y
_atom_site_fract_z
Th1 0.000 0.000 0.191
Cd1 0.000 0.000 0.500
Cd2 0.000 0.250 0.250
Cd3 0.120 0.120 0.380
Cd4 0.168 0.168 0.168
```

Top 6 peaks for 15° ≤ 2θ ≤ 90°, low angle first:
- (4 2 2), 2θ = 31.1°, intensity 32
- (3 3 3), 2θ = 33.1°, intensity 100
- (4 4 0), 2θ = 36.1°, intensity 90
- (6 0 0), 2θ = 38.4°, intensity 25
- (6 6 0), 2θ = 55.4°, intensity 30
- (9 3 3), 2θ = 66.0°, intensity 27

Entry 4:
Diffraction record for Th6Cd7. The powder diffractogram is simulated, not measured: it uses a structure optimized by DFT (PBE) and Cu Kα (λ = 1.5418 Å).

Structural model:
```
data_Th6Cd7
_cell_length_a 9.886
_cell_length_b 11.646
_cell_length_c 6.015
_cell_angle_alpha 90.00
_cell_angle_beta 90.00
_cell_angle_gamma 90.00
_space_group_name_H-M_alt 'P b a m'
_space_group_IT_number 55
loop_
_space_group_symop_operation_xyz
'x,y,z'
'-x,-y,-z'
'-x,-y,z'
'x,y,-z'
'x+1/2,-y+1/2,-z'
'-x+1/2,y+1/2,z'
'-x+1/2,y+1/2,-z'
'x+1/2,-y+1/2,z'
loop_
_atom_site_label
_atom_site_fract_x
_atom_site_fract_y
_atom_site_fract_z
Th1 0.051 0.126 0.000
Th2 0.155 0.957 0.500
Th3 0.169 0.414 0.000
Cd1 0.000 0.500 0.500
Cd2 0.098 0.253 0.500
Cd3 0.154 0.680 0.244
```

Top 6 peaks for 15° ≤ 2θ ≤ 90°, low angle first:
- (0 0 2), 2θ = 29.7°, intensity 37
- (3 1 1), 2θ = 31.9°, intensity 100
- (1 4 0), 2θ = 32.0°, intensity 52
- (2 3 1), 2θ = 32.9°, intensity 89
- (0 4 1), 2θ = 34.2°, intensity 54
- (3 3 0), 2θ = 35.8°, intensity 81

Entry 5:
Diffraction record for TmThCd. The powder diffractogram is simulated, not measured: it uses a structure optimized by DFT (PBE) and Cu Kα (λ = 1.5418 Å).

Structural model:
```
data_TmThCd
_cell_length_a 5.3050
_cell_length_b 5.3050
_cell_length_c 10.4074
_cell_angle_alpha 90.00
_cell_angle_beta 90.00
_cell_angle_gamma 120.00
_space_group_name_H-M_alt 'P 3 m 1'
_space_group_IT_number 156
loop_
_space_group_symop_operation_xyz
'x,y,z'
'-y,x-y,z'
'-x+y,-x,z'
'-y,-x,z'
'-x+y,y,z'
'x,x-y,z'
loop_
_atom_site_label
_atom_site_fract_x
_atom_site_fract_y
_atom_site_fract_z
Tm1 0.0000 0.0000 0.0000
Tm2 0.0000 0.0000 0.3347
Tm3 0.3333 0.6667 0.5135
Th1 0.0000 0.0000 0.6556
Th2 0.3333 0.6667 0.1863
Th3 0.3333 0.6667 0.8568
Cd1 0.6667 0.3333 0.0720
Cd2 0.6667 0.3333 0.4175
Cd3 0.6667 0.3333 0.7494
```

Top 6 peaks for 15° ≤ 2θ ≤ 90°, low angle first:
- (1 0 3), 2θ = 32.3°, intensity 100
- (1 1 0), 2θ = 33.8°, intensity 86
- (0 2 3), 2θ = 47.5°, intensity 35
- (2 1 3), 2θ = 59.5°, intensity 36
- (3 0 0), 2θ = 60.5°, intensity 16
- (1 3 3), 2θ = 80.3°, intensity 15

Entry 6:
Diffraction record for Tl3Cd. The powder diffractogram is simulated, not measured: it uses a structure optimized by DFT (PBE) and Cu Kα (λ = 1.5418 Å).

Structural model:
```
data_Tl3Cd
_cell_length_a 12.372
_cell_length_b 12.372
_cell_length_c 6.214
_cell_angle_alpha 90.00
_cell_angle_beta 90.00
_cell_angle_gamma 90.00
_space_group_name_H-M_alt 'P 42/n b c'
_space_group_IT_number 133
loop_
_space_group_symop_operation_xyz
'x,y,z'
'-x,-y,-z'
'-y+1/2,x,z+1/2'
'y+1/2,-x,-z+1/2'
'-x+1/2,-y+1/2,z'
'x+1/2,y+1/2,-z'
'y,-x+1/2,z+1/2'
'-y,x+1/2,-z+1/2'
'x,-y+1/2,-z'
'-x,y+1/2,z'
'-y+1/2,-x+1/2,-z+1/2'
'y+1/2,x+1/2,z+1/2'
'-x+1/2,y,-z'
'x+1/2,-y,z'
'y,x,-z+1/2'
'-y,-x,z+1/2'
loop_
_atom_site_label
_atom_site_fract_x
_atom_site_fract_y
_atom_site_fract_z
Tl1 0.042 0.042 0.250
Tl2 0.097 0.750 0.000
Tl3 0.158 0.158 0.750
Cd1 0.046 0.750 0.500
```

Top 6 peaks for 15° ≤ 2θ ≤ 90°, low angle first:
- (3 2 1), 2θ = 29.7°, intensity 100
- (1 1 2), 2θ = 30.5°, intensity 67
- (3 3 0), 2θ = 30.7°, intensity 55
- (4 2 0), 2θ = 32.4°, intensity 48
- (4 1 1), 2θ = 33.2°, intensity 74
- (2 2 2), 2θ = 35.5°, intensity 73

Entry 7:
Diffraction record for YTmCd6. The powder diffractogram is simulated, not measured: it uses a structure optimized by DFT (PBE) and Cu Kα (λ = 1.5418 Å).

Structural model:
```
data_YTmCd6
_cell_length_a 6.5574
_cell_length_b 6.5574
_cell_length_c 4.9586
_cell_angle_alpha 90.00
_cell_angle_beta 90.00
_cell_angle_gamma 120.00
_space_group_name_H-M_alt 'P -6 m 2'
_space_group_IT_number 187
_space_group_name_Hall 'P -6 2'
loop_
_atom_site_label
_atom_site_fract_x
_atom_site_fract_y
_atom_site_fract_z
Y1 0.0000 0.0000 0.0000
Tm1 0.3333 0.6667 0.5000
Cd1 0.3431 0.1715 0.5000
Cd2 0.5028 0.0055 0.0000
```

Top 6 peaks for 15° ≤ 2θ ≤ 90°, low angle first:
- (2 0 0), 2θ = 31.5°, intensity 25
- (0 0 2), 2θ = 36.2°, intensity 23
- (2 0 1), 2θ = 36.5°, intensity 100
- (2 2 0), 2θ = 56.1°, intensity 18
- (2 0 3), 2θ = 65.3°, intensity 17
- (2 2 2), 2θ = 68.6°, intensity 20

Entry 8:
Diffraction record for Tm5Zn4Cd. The powder diffractogram is simulated, not measured: it uses a structure optimized by DFT (PBE) and Cu Kα (λ = 1.5418 Å).

Structural model:
```
data_Tm5Zn4Cd
_cell_length_a 3.524
_cell_length_b 3.524
_cell_length_c 17.968
_cell_angle_alpha 90.00
_cell_angle_beta 90.00
_cell_angle_gamma 90.00
_space_group_name_H-M_alt 'P 4/m m m'
_space_group_IT_number 123
_space_group_name_Hall '-P 4 2'
loop_
_atom_site_label
_atom_site_fract_x
_atom_site_fract_y
_atom_site_fract_z
Tm1 0.000 0.000 0.000
Tm2 0.000 0.000 0.194
Tm3 0.000 0.000 0.387
Zn1 0.500 0.500 0.097
Zn2 0.500 0.500 0.292
Cd1 0.500 0.500 0.500
```

Top 6 peaks for 15° ≤ 2θ ≤ 90°, low angle first:
- (1 0 0), 2θ = 25.3°, intensity 16
- (1 0 5), 2θ = 35.7°, intensity 100
- (1 1 0), 2θ = 36.0°, intensity 52
- (2 0 0), 2θ = 51.9°, intensity 18
- (1 1 10), 2θ = 63.9°, intensity 15
- (2 1 5), 2θ = 64.6°, intensity 35

Entry 9:
Diffraction record for Y2CdW2. The powder diffractogram is simulated, not measured: it uses a structure optimized by DFT (PBE) and Cu Kα (λ = 1.5418 Å).

Structural model:
```
data_Y2CdW2
_cell_length_a 4.8428
_cell_length_b 4.8428
_cell_length_c 10.9521
_cell_angle_alpha 90.00
_cell_angle_beta 90.00
_cell_angle_gamma 120.00
_space_group_name_H-M_alt 'P 63/m m c'
_space_group_IT_number 194
_space_group_name_Hall '-P 6c 2c'
loop_
_atom_site_label
_atom_site_fract_x
_atom_site_fract_y
_atom_site_fract_z
Y1 0.3333 0.6667 0.0932
Cd1 0.0000 0.0000 0.2500
W1 0.0000 0.0000 0.0000
W2 0.3333 0.6667 0.7500
```

Top 6 peaks for 15° ≤ 2θ ≤ 90°, low angle first:
- (1 0 3), 2θ = 32.5°, intensity 64
- (1 1 0), 2θ = 37.1°, intensity 100
- (1 0 4), 2θ = 39.3°, intensity 28
- (2 0 3), 2θ = 50.2°, intensity 19
- (1 1 4), 2θ = 50.3°, intensity 24
- (2 1 3), 2θ = 64.0°, intensity 18

Entry 10:
Diffraction record for YCd7. The powder diffractogram is simulated, not measured: it uses a structure optimized by DFT (PBE) and Cu Kα (λ = 1.5418 Å).

Structural model:
```
data_YCd7
_cell_length_a 7.380
_cell_length_b 10.180
_cell_length_c 9.446
_cell_angle_alpha 90.00
_cell_angle_beta 90.00
_cell_angle_gamma 90.00
_space_group_name_H-M_alt 'C m c m'
_space_group_IT_number 63
_space_group_name_Hall '-C 2c 2'
loop_
_atom_site_label
_atom_site_fract_x
_atom_site_fract_y
_atom_site_fract_z
Y1 0.000 0.023 0.250
Cd1 0.000 0.214 0.519
Cd2 0.000 0.415 0.750
Cd3 0.201 0.301 0.250
Cd4 0.207 0.500 0.000
```

Top 6 peaks for 15° ≤ 2θ ≤ 90°, low angle first:
- (2 2 1), 2θ = 31.4°, intensity 15
- (1 3 2), 2θ = 34.7°, intensity 27
- (2 2 2), 2θ = 35.6°, intensity 100
- (0 4 1), 2θ = 36.6°, intensity 15
- (0 0 4), 2θ = 38.1°, intensity 33
- (3 5 0), 2θ = 58.9°, intensity 13

Entry 11:
Diffraction record for Y2Zr3Cd2. The powder diffractogram is simulated, not measured: it uses a structure optimized by DFT (PBE) and Cu Kα (λ = 1.5418 Å).

Structural model:
```
data_Y2Zr3Cd2
_cell_length_a 5.1182
_cell_length_b 5.1182
_cell_length_c 22.9081
_cell_angle_alpha 90.00
_cell_angle_beta 90.00
_cell_angle_gamma 120.00
_space_group_name_H-M_alt 'R 3 m'
_space_group_IT_number 160
_space_group_name_Hall 'R 3 -2"'
loop_
_atom_site_label
_atom_site_fract_x
_atom_site_fract_y
_atom_site_fract_z
Y1 0.0000 0.0000 0.0000
Y2 0.0000 0.0000 0.4368
Zr1 0.0000 0.0000 0.2653
Zr2 0.0000 0.0000 0.5879
Zr3 0.0000 0.0000 0.8618
Cd1 0.0000 0.0000 0.1385
Cd2 0.0000 0.0000 0.7226
```

Top 6 peaks for 15° ≤ 2θ ≤ 90°, low angle first:
- (1 0 7), 2θ = 34.1°, intensity 87
- (1 1 0), 2θ = 35.1°, intensity 100
- (0 2 7), 2θ = 49.7°, intensity 29
- (2 1 7), 2θ = 62.3°, intensity 29
- (3 0 0), 2θ = 62.9°, intensity 17
- (1 3 7), 2θ = 84.1°, intensity 13

Entry 12:
Diffraction record for Zn4Cd3. The powder diffractogram is simulated, not measured: it uses a structure optimized by DFT (PBE) and Cu Kα (λ = 1.5418 Å).

Structural model:
```
data_Zn4Cd3
_cell_length_a 7.6090
_cell_length_b 7.6090
_cell_length_c 4.8914
_cell_angle_alpha 90.00
_cell_angle_beta 90.00
_cell_angle_gamma 120.00
_space_group_name_H-M_alt 'P 63/m'
_space_group_IT_number 176
_space_group_name_Hall '-P 6c'
loop_
_atom_site_label
_atom_site_fract_x
_atom_site_fract_y
_atom_site_fract_z
Zn1 0.1062 0.4914 0.2500
Zn2 0.3333 0.6667 0.7500
Cd1 0.0545 0.2545 0.7500
```

Top 6 peaks for 15° ≤ 2θ ≤ 90°, low angle first:
- (2 1 0), 2θ = 36.1°, intensity 24
- (0 0 2), 2θ = 36.7°, intensity 31
- (2 1 1), 2θ = 40.6°, intensity 100
- (2 1 2), 2θ = 52.4°, intensity 15
- (2 1 3), 2θ = 68.8°, intensity 19
- (1 4 2), 2θ = 76.9°, intensity 18

- Number 7 is which compound?
  YTmCd6